# 1
Diffraction record for Y3SeS2. The powder X-ray diffraction pattern is computed, not measured: it uses a DFT-relaxed cell (PBE, Alexandria) and λ = 1.5418 Å (Cu Kα).
Lines closer than 0.1° are merged.

Largest 12 diffraction maxima, in order of falling intensity, 2θ = 15–90°:
2θ = 31.82°, I = 100; 2θ = 45.62°, I = 69; 2θ = 56.70°, I = 23; 2θ = 75.58°, I = 19; 2θ = 84.36°, I = 18; 2θ = 27.47°, I = 17; 2θ = 75.69°, I = 10; 2θ = 54.08°, I = 7; 2θ = 66.46°, I = 7; 2θ = 31.36°, I = 4; 2θ = 66.59°, I = 4; 2θ = 84.43°, I = 4

Atomic structure:
Cell lengths 3.9796, 5.6175, 11.9365 Å; angles 90.00, 90.00, 90.00 degrees
Atoms (fractional coordinates):
Y 0.0000 0.0000 0.0000
Y 0.0000 0.0000 0.3220
Y 0.0000 0.0000 0.6780
Y 0.5000 0.5000 0.1780
Y 0.5000 0.5000 0.5000
Y 0.5000 0.5000 0.8220
Se 0.0000 0.5000 0.0000
Se 0.5000 0.0000 0.5000
S 0.0000 0.5000 0.3368
S 0.0000 0.5000 0.6632
S 0.5000 0.0000 0.1632
S 0.5000 0.0000 0.8368

# 2
Diffraction record for Y3SeS3. The powder X-ray diffraction pattern is computed, not measured: it uses a DFT-relaxed cell (PBE, Alexandria) and λ = 1.5418 Å (Cu Kα).
Lines closer than 0.1° are merged.

Largest 12 diffraction maxima, in order of falling intensity, 2θ = 15–90°:
2θ = 37.34°, I = 100; 2θ = 26.75°, I = 86; 2θ = 39.02°, I = 75; 2θ = 21.30°, I = 28; 2θ = 50.19°, I = 28; 2θ = 32.30°, I = 27; 2θ = 55.11°, I = 21; 2θ = 46.53°, I = 20; 2θ = 79.87°, I = 19; 2θ = 68.47°, I = 17; 2θ = 34.58°, I = 16; 2θ = 33.25°, I = 14

Atomic structure:
Cell lengths 7.3428, 7.3428, 7.3428 Å; angles 69.23, 69.23, 69.23 degrees
Atoms (fractional coordinates):
Y 0.0533 0.4245 0.7822
Y 0.2178 0.9467 0.5755
Y 0.4245 0.7822 0.0533
Y 0.5755 0.2178 0.9467
Y 0.7822 0.0533 0.4245
Y 0.9467 0.5755 0.2178
Se 0.1683 0.1683 0.1683
Se 0.8317 0.8317 0.8317
S 0.1275 0.6991 0.4029
S 0.3009 0.5971 0.8725
S 0.4029 0.1275 0.6991
S 0.5971 0.8725 0.3009
S 0.6991 0.4029 0.1275
S 0.8725 0.3009 0.5971

# 3
Diffraction record for Zn4SeS3. The powder X-ray diffraction pattern is computed, not measured: it uses a DFT-relaxed cell (PBE, Alexandria) and λ = 1.5418 Å (Cu Kα).
Lines closer than 0.1° are merged.

Largest 12 diffraction maxima, in order of falling intensity, 2θ = 15–90°:
2θ = 28.01°, I = 100; 2θ = 46.55°, I = 66; 2θ = 55.20°, I = 41; 2θ = 86.38°, I = 20; 2θ = 75.03°, I = 15; 2θ = 67.95°, I = 10; 2θ = 32.45°, I = 5; 2θ = 26.49°, I = 2; 2θ = 40.66°, I = 2; 2θ = 26.80°, I = 1; 2θ = 37.10°, I = 1; 2θ = 77.33°, I = 1

Atomic structure:
Cell lengths 12.9488, 12.9488, 12.9488 Å; angles 17.33, 17.33, 17.33 degrees
Atoms (fractional coordinates):
Zn 0.0000 0.0000 0.0000
Zn 0.2443 0.2443 0.2443
Zn 0.4961 0.4961 0.4961
Zn 0.7479 0.7479 0.7479
Se 0.3091 0.3091 0.3091
S 0.0614 0.0614 0.0614
S 0.5579 0.5579 0.5579
S 0.8096 0.8096 0.8096

# 4
Diffraction record for SiS2. The powder X-ray diffraction pattern is computed, not measured: it uses a DFT-relaxed cell (PBE, Alexandria) and λ = 1.5418 Å (Cu Kα).
Lines closer than 0.1° are merged.

Largest 12 diffraction maxima, in order of falling intensity, 2θ = 15–90°:
2θ = 30.39°, I = 100; 2θ = 18.73°, I = 57; 2θ = 53.16°, I = 29; 2θ = 55.64°, I = 25; 2θ = 45.43°, I = 23; 2θ = 89.82°, I = 11; 2θ = 31.69°, I = 10; 2θ = 47.76°, I = 10; 2θ = 60.02°, I = 9; 2θ = 37.07°, I = 8; 2θ = 68.90°, I = 8; 2θ = 86.45°, I = 7

Atomic structure:
Cell lengths 5.6470, 5.6470, 8.6997 Å; angles 90.00, 90.00, 90.00 degrees
Atoms (fractional coordinates):
Si 0.0000 0.0000 0.0000
Si 0.0000 0.5000 0.2500
Si 0.5000 0.0000 0.7500
Si 0.5000 0.5000 0.5000
S 0.2137 0.2500 0.1250
S 0.2500 0.7137 0.3750
S 0.2500 0.7863 0.8750
S 0.2863 0.2500 0.6250
S 0.7137 0.7500 0.6250
S 0.7500 0.2137 0.8750
S 0.7500 0.2863 0.3750
S 0.7863 0.7500 0.1250